Diffraction record for AcZn4Hg4. The powder diffraction line list is theoretical, not measured: it uses DFT lattice parameters and positions (PBE) and Cu Ka.

Atomic structure:
a = 6.933 Å, b = 6.933 Å, c = 6.933 Å
α = 97.35°, β = 97.35°, γ = 138.07°
Element x y z (fractional)
1 Ac 0.000 0.000 0.000
2 Zn 0.287 0.390 0.676
3 Zn 0.390 0.713 0.103
4 Zn 0.610 0.287 0.897
5 Zn 0.713 0.610 0.324
6 Hg 0.095 0.644 0.738
7 Hg 0.356 0.095 0.451
8 Hg 0.644 0.905 0.549
9 Hg 0.905 0.356 0.262

Peak list (10 most intense, 15 to 90 degrees two-theta, sorted by position)
- 28.3°, d 3.158, intensity 78
- 30.9°, d 2.895, intensity 66
- 34.5°, d 2.599, intensity 54
- 36.2°, d 2.481, intensity 46
- 39.9°, d 2.260, intensity 100
- 48.3°, d 1.884, intensity 39
- 64.0°, d 1.454, intensity 26
- 64.7°, d 1.440, intensity 20
- 67.6°, d 1.386, intensity 21
- 68.3°, d 1.374, intensity 20

Diffraction record for PmUN. The powder diffraction line list is theoretical, not measured: it uses DFT lattice parameters and positions (PBE) and Cu Ka.

Atomic structure:
a = 3.406 Å, b = 3.406 Å, c = 6.337 Å
α = 90.00°, β = 90.00°, γ = 120.00°
Element x y z (fractional)
1 Pm 0.000 0.000 0.000
2 U 0.333 0.667 0.545
3 N 0.667 0.333 0.751

Peak list (10 most intense, 15 to 90 degrees two-theta, sorted by position)
- 28.2°, d 3.169, intensity 30
- 30.3°, d 2.950, intensity 21
- 33.5°, d 2.674, intensity 100
- 41.8°, d 2.159, intensity 26
- 53.3°, d 1.717, intensity 25
- 53.8°, d 1.703, intensity 19
- 61.9°, d 1.500, intensity 21
- 64.9°, d 1.436, intensity 15
- 79.2°, d 1.209, intensity 8
- 89.2°, d 1.098, intensity 14

Diffraction record for SbPH4O4F6. The powder diffraction line list is theoretical, not measured: it uses DFT lattice parameters and positions (PBE) and Cu Ka.

Atomic structure:
a = 5.596 Å, b = 5.596 Å, c = 13.892 Å
α = 90.72°, β = 90.72°, γ = 98.56°
Element x y z (fractional)
1 Sb 0.000 0.000 0.000
2 Sb 0.000 0.000 0.500
3 P 0.445 0.555 0.750
4 P 0.555 0.445 0.250
5 H 0.105 0.356 0.693
6 H 0.356 0.105 0.193
7 H 0.371 0.413 0.390
8 H 0.413 0.371 0.890
9 H 0.587 0.629 0.110
10 H 0.629 0.587 0.610
11 H 0.644 0.895 0.807
12 H 0.895 0.644 0.307
13 O 0.168 0.507 0.730
14 O 0.404 0.525 0.334
15 O 0.475 0.596 0.166
16 O 0.493 0.832 0.770
17 O 0.507 0.168 0.230
18 O 0.525 0.404 0.834
19 O 0.596 0.475 0.666
20 O 0.832 0.493 0.270
21 F 0.011 0.103 0.634
22 F 0.103 0.011 0.134
23 F 0.188 0.756 0.531
24 F 0.224 0.290 0.976
25 F 0.244 0.812 0.969
26 F 0.290 0.224 0.476
27 F 0.710 0.776 0.524
28 F 0.756 0.188 0.031
29 F 0.776 0.710 0.024
30 F 0.812 0.244 0.469
31 F 0.897 0.989 0.866
32 F 0.989 0.897 0.366

Peak list (10 most intense, 15 to 90 degrees two-theta, sorted by position)
- 16.0°, d 5.533, intensity 43
- 20.4°, d 4.359, intensity 99
- 20.7°, d 4.297, intensity 100
- 20.9°, d 4.241, intensity 55
- 24.4°, d 3.650, intensity 39
- 24.6°, d 3.620, intensity 20
- 25.7°, d 3.472, intensity 31
- 40.5°, d 2.229, intensity 17
- 42.6°, d 2.123, intensity 21
- 44.6°, d 2.030, intensity 21

Copy entry 2 word for word.
Diffraction record for PmUN. The powder diffraction line list is theoretical, not measured: it uses DFT lattice parameters and positions (PBE) and Cu Ka.

Atomic structure:
a = 3.406 Å, b = 3.406 Å, c = 6.337 Å
α = 90.00°, β = 90.00°, γ = 120.00°
Element x y z (fractional)
1 Pm 0.000 0.000 0.000
2 U 0.333 0.667 0.545
3 N 0.667 0.333 0.751

Peak list (10 most intense, 15 to 90 degrees two-theta, sorted by position)
- 28.2°, d 3.169, intensity 30
- 30.3°, d 2.950, intensity 21
- 33.5°, d 2.674, intensity 100
- 41.8°, d 2.159, intensity 26
- 53.3°, d 1.717, intensity 25
- 53.8°, d 1.703, intensity 19
- 61.9°, d 1.500, intensity 21
- 64.9°, d 1.436, intensity 15
- 79.2°, d 1.209, intensity 8
- 89.2°, d 1.098, intensity 14